[1]
This entry pairs a crystal structure of YZn2Re with its theoretical XRD peak list. Radiation: copper Kα. Structure: a structure optimized by DFT (GGA-PBE).

Principal peaks in the range 2θ from 5° to 70°, by angle:
- hkl 0 0 1, d 6.003, 2θ 14.8, intensity 31
- hkl 1 0 0, d 3.436, 2θ 25.9, intensity 17
- hkl 0 0 2, d 3.002, 2θ 29.8, intensity 8
- hkl 1 1 0, d 2.429, 2θ 37.0, intensity 69
- hkl 1 0 2, d 2.260, 2θ 39.9, intensity 100
- hkl 1 1 1, d 2.252, 2θ 40.0, intensity 11
- hkl 1 1 2, d 1.888, 2θ 48.2, intensity 9
- hkl 1 0 3, d 1.729, 2θ 53.0, intensity 12
- hkl 2 0 0, d 1.718, 2θ 53.3, intensity 24
- hkl 2 1 2, d 1.368, 2θ 68.6, intensity 39

Structure:
abc: 3.436 3.436 6.003
angles: 90.00 90.00 90.00
Space group P4/mmm (No. 123)
Unique sites:
Y  0.000  0.000  0.000 x1
Zn  0.500  0.500  0.296 x2
Re  0.000  0.000  0.500 x1



[2]
This entry pairs a crystal structure of ThB14W with its theoretical XRD peak list. Radiation: copper Kα. Structure: a structure optimized by DFT (GGA-PBE).

Principal peaks in the range 2θ from 5° to 70°, by angle:
- hkl 0 2 0, d 5.555, 2θ 16.0, intensity 100
- hkl 1 0 1, d 4.785, 2θ 18.5, intensity 20
- hkl 1 2 1, d 3.626, 2θ 24.6, intensity 32
- hkl 1 1 2, d 3.228, 2θ 27.6, intensity 39
- hkl 0 4 0, d 2.777, 2θ 32.2, intensity 20
- hkl 2 1 1, d 2.687, 2θ 33.4, intensity 59
- hkl 0 1 3, d 2.666, 2θ 33.6, intensity 32
- hkl 1 3 2, d 2.493, 2θ 36.0, intensity 31
- hkl 2 3 1, d 2.217, 2θ 40.7, intensity 43
- hkl 0 3 3, d 2.206, 2θ 40.9, intensity 23

Structure:
abc: 5.879 11.109 8.237
angles: 90.00 90.00 90.00
Space group Imma (No. 74)
Unique sites:
Th  0.000  0.250  0.122 x4
B  0.000  0.079  0.671 x8
B  0.000  0.117  0.868 x8
B  0.000  0.168  0.471 x8
B  0.162  0.065  0.340 x16
B  0.246  0.076  0.551 x16
W  0.250  0.250  0.750 x4



[3]
This entry pairs a crystal structure of MgBr with its theoretical XRD peak list. Radiation: copper Kα. Structure: a structure optimized by DFT (GGA-PBE).

Principal peaks in the range 2θ from 5° to 70°, by angle:
- hkl 0 0 2, d 4.779, 2θ 18.6, intensity 81
- hkl 2 1 0, d 3.439, 2θ 25.9, intensity 34
- hkl 2 1 1, d 3.233, 2θ 27.6, intensity 100
- hkl 4 0 1, d 3.100, 2θ 28.8, intensity 50
- hkl 3 1 1, d 2.833, 2θ 31.6, intensity 22
- hkl 2 1 2, d 2.792, 2θ 32.1, intensity 35
- hkl 0 1 3, d 2.502, 2θ 35.9, intensity 26
- hkl 3 1 3, d 2.171, 2θ 41.6, intensity 23
- hkl 0 2 0, d 2.020, 2θ 44.9, intensity 21
- hkl 6 1 1, d 1.885, 2θ 48.3, intensity 40

Structure:
abc: 13.114 4.040 9.558
angles: 90.00 90.00 90.00
Space group Pnma (No. 62)
Unique sites:
Mg  0.062  0.250  0.105 x4
Mg  0.139  0.250  0.815 x4
Br  0.070  0.750  0.662 x4
Br  0.168  0.750  0.244 x4



[4]
This entry pairs a crystal structure of Rb2SnTe4As with its theoretical XRD peak list. Radiation: copper Kα. Structure: a structure optimized by DFT (GGA-PBE).

Principal peaks in the range 2θ from 5° to 70°, by angle:
- hkl 0 2 2, d 6.578, 2θ 13.5, intensity 25
- hkl 1 3 3, d 3.729, 2θ 23.9, intensity 100
- hkl 1 3 5, d 3.177, 2θ 28.1, intensity 44
- hkl 0 0 8, d 3.034, 2θ 29.4, intensity 15
- hkl 2 0 6, d 2.665, 2θ 33.6, intensity 48
- hkl 2 4 2, d 2.567, 2θ 35.0, intensity 20
- hkl 0 6 6, d 2.193, 2θ 41.2, intensity 22
- hkl 2 6 0, d 2.101, 2θ 43.1, intensity 26
- hkl 3 3 3, d 2.079, 2θ 43.5, intensity 15
- hkl 0 8 0, d 1.955, 2θ 46.5, intensity 19

Structure:
abc: 7.085 15.655 24.275
angles: 90.00 90.00 90.00
Space group Fddd (No. 70, origin choice 2)
Unique sites:
Rb  0.125  0.125  0.314 x16
Sn  0.125  0.125  0.625 x8
Te  0.099  0.273  0.442 x32
As  0.125  0.125  0.125 x8



[5]
This entry pairs a crystal structure of PmNd3Os with its theoretical XRD peak list. Radiation: copper Kα. Structure: a structure optimized by DFT (GGA-PBE).

Principal peaks in the range 2θ from 5° to 70°, by angle:
- hkl 1 1 -1, d 6.091, 2θ 14.5, intensity 44
- hkl 0 2 0, d 4.405, 2θ 20.2, intensity 41
- hkl 2 2 0, d 3.115, 2θ 28.7, intensity 21
- hkl 0 0 2, d 3.045, 2θ 29.3, intensity 100
- hkl 1 3 -1, d 2.776, 2θ 32.3, intensity 63
- hkl 4 0 -3, d 2.677, 2θ 33.5, intensity 66
- hkl 1 3 1, d 2.347, 2θ 38.4, intensity 46
- hkl 1 1 2, d 2.326, 2θ 38.7, intensity 28
- hkl 5 3 -2, d 1.863, 2θ 48.9, intensity 27
- hkl 5 3 -1, d 1.725, 2θ 53.1, intensity 31

Structure:
abc: 12.167 8.829 8.429
angles: 90.00 133.73 90.00
Space group C2/m (No. 12)
Unique sites:
Pm  0.052  0.000  0.254 x4
Nd  0.052  0.500  0.349 x4
Nd  0.249  0.197  0.796 x8
Os  0.249  0.000  0.128 x4



[6]
This entry pairs a crystal structure of DyPuP2Pd2 with its theoretical XRD peak list. Radiation: copper Kα. Structure: a structure optimized by DFT (GGA-PBE).

Principal peaks in the range 2θ from 5° to 70°, by angle:
- hkl 1 0 0, d 3.625, 2θ 24.6, intensity 26
- hkl 1 0 1, d 3.269, 2θ 27.3, intensity 15
- hkl 0 1 2, d 2.617, 2θ 34.3, intensity 100
- hkl 1 1 0, d 2.093, 2θ 43.2, intensity 42
- hkl 0 1 3, d 2.070, 2θ 43.7, intensity 4
- hkl 0 0 4, d 1.891, 2θ 48.1, intensity 10
- hkl 2 0 0, d 1.813, 2θ 50.3, intensity 4
- hkl 1 0 4, d 1.677, 2θ 54.7, intensity 7
- hkl 2 0 2, d 1.635, 2θ 56.3, intensity 24
- hkl 1 1 4, d 1.403, 2θ 66.6, intensity 22

Structure:
abc: 4.1859 4.1859 7.5655
angles: 90.00 90.00 120.00
Space group P-3m1 (No. 164)
Unique sites:
Dy  0.0000  0.0000  0.0000 x1
Pu  0.0000  0.0000  0.5000 x1
P  0.3333  0.6667  0.7444 x2
Pd  0.3333  0.6667  0.2381 x2